# 1
Calculated powder X-ray diffraction pattern of Dy4CdS7 for Cu Kα (weighted mean of Kα1 and Kα2), from a cell relaxed with PBE.
No peak broadening, texture or thermal motion is included.

Cell and atoms:
```
data_Dy4CdS7
_space_group_name_H-M_alt 'C 1 m 1'
_space_group_IT_number 8
_cell_length_a 12.7394
_cell_length_b 3.8396
_cell_length_c 11.5956
_cell_angle_alpha 90.00
_cell_angle_beta 104.92
_cell_angle_gamma 90.00
loop_
_space_group_symop_operation_xyz
'x,y,z'
'x,-y,z'
'x+1/2,y+1/2,z'
'x+1/2,-y+1/2,z'
loop_
_atom_site_label
_atom_site_fract_x
_atom_site_fract_y
_atom_site_fract_z
Dy1 0.0000 0.0000 0.0000
Dy2 0.0786 0.5000 0.3718
Dy3 0.1934 0.5000 0.8031
Dy4 0.3863 0.0000 0.6044
Cd1 0.3089 0.5000 0.2215
S1 0.0338 0.0000 0.7490
S2 0.1544 0.5000 0.0181
S3 0.1932 0.0000 0.3027
S4 0.2329 0.5000 0.5860
S5 0.3530 0.0000 0.8502
S6 0.4354 0.0000 0.1513
S7 0.4522 0.5000 0.4480
```

Top 6 peaks for 2θ from 10° to 90°, low angle first:
| 2θ (°) | Rel. int. |
| --- | --- |
| 24.08 | 100 |
| 24.49 | 93 |
| 28.03 | 74 |
| 31.50 | 52 |
| 33.12 | 57 |
| 47.32 | 51 |


# 2
Calculated powder X-ray diffraction pattern of Rb2PtBr4O for Cu Kα (weighted mean of Kα1 and Kα2), from a cell relaxed with PBE.
No peak broadening, texture or thermal motion is included.

Cell and atoms:
```
data_Rb2PtBr4O
_space_group_name_H-M_alt 'P n m a'
_space_group_IT_number 62
_cell_length_a 14.3096
_cell_length_b 10.8333
_cell_length_c 7.1602
_cell_angle_alpha 90.00
_cell_angle_beta 90.00
_cell_angle_gamma 90.00
loop_
_space_group_symop_operation_xyz
'x,y,z'
'-x,-y,-z'
'-x+1/2,-y,z+1/2'
'x+1/2,y,-z+1/2'
'x+1/2,-y+1/2,-z+1/2'
'-x+1/2,y+1/2,z+1/2'
'-x,y+1/2,-z'
'x,-y+1/2,z'
loop_
_atom_site_label
_atom_site_fract_x
_atom_site_fract_y
_atom_site_fract_z
Rb1 0.1283 0.0284 0.2204
Pt1 0.1229 0.7500 0.7182
Br1 0.0246 0.7500 0.9991
Br2 0.1231 0.5230 0.7186
Br3 0.2256 0.7500 0.4452
O1 0.1397 0.2500 0.4580
```

Top 6 peaks for 2θ from 10° to 90°, low angle first:
| 2θ (°) | Rel. int. |
| --- | --- |
| 14.83 | 100 |
| 24.88 | 45 |
| 29.09 | 39 |
| 29.92 | 29 |
| 33.08 | 32 |
| 35.47 | 45 |


# 3
Calculated powder X-ray diffraction pattern of DyFeC2 for Cu Kα (weighted mean of Kα1 and Kα2), from a cell relaxed with PBE.
No peak broadening, texture or thermal motion is included.

Cell and atoms:
```
data_DyFeC2
_space_group_name_H-M_alt 'A m m 2'
_space_group_IT_number 38
_cell_length_a 3.6356
_cell_length_b 4.5396
_cell_length_c 5.9129
_cell_angle_alpha 90.00
_cell_angle_beta 90.00
_cell_angle_gamma 90.00
loop_
_space_group_symop_operation_xyz
'x,y,z'
'-x,-y,z'
'-x,y,z'
'x,-y,z'
'x,y+1/2,z+1/2'
'-x,-y+1/2,z+1/2'
'-x,y+1/2,z+1/2'
'x,-y+1/2,z+1/2'
loop_
_atom_site_label
_atom_site_fract_x
_atom_site_fract_y
_atom_site_fract_z
Dy1 0.0000 0.0000 0.0000
Fe1 0.5000 0.0000 0.6086
C1 0.5000 0.1548 0.2939
```

Top 6 peaks for 2θ from 10° to 90°, low angle first:
| 2θ (°) | Rel. int. |
| --- | --- |
| 24.73 | 35 |
| 30.23 | 21 |
| 35.08 | 100 |
| 39.28 | 24 |
| 39.71 | 18 |
| 50.48 | 16 |